Record 1
InMo3Se3: theoretical powder diffraction line list (λ = 1.5418 Å (Cu Kα)), based on the PBE geometry in the Materials Project.
Neutral-atom scattering factors, no anomalous dispersion.

Structural model:
```
data_InMo3Se3
_chemical_formula_sum 'In2 Mo6 Se6'
_space_group_name_H-M_alt 'P 63/m'
_space_group_IT_number 176
_space_group_name_Hall '-P 6c'
_cell_length_a 9.2076
_cell_length_b 9.2076
_cell_length_c 4.5135
_cell_angle_alpha 90.00
_cell_angle_beta 90.00
_cell_angle_gamma 120.00
loop_
_atom_site_label
_atom_site_fract_x
_atom_site_fract_y
_atom_site_fract_z
In1 0.3333 0.6667 0.2500
Mo1 0.0173 0.1746 0.2500
Se1 0.0343 0.3486 0.7500
```

Peak list (10 most intense, 10° ≤ 2θ ≤ 80°, by angle)
2θ 11.1, I = 100; 2θ 27.7, I = 17; 2θ 29.6, I = 27; 2θ 29.9, I = 14; 2θ 33.7, I = 19; 2θ 35.8, I = 57; 2θ 39.9, I = 31; 2θ 44.2, I = 60; 2θ 45.7, I = 20; 2θ 54.1, I = 21

---

Record 2
VFeSe: theoretical powder diffraction line list (λ = 1.5418 Å (Cu Kα)), based on the PBE geometry in the Materials Project.
Neutral-atom scattering factors, no anomalous dispersion.

Structural model:
```
data_VFeSe
_chemical_formula_sum 'V4 Fe4 Se4'
_space_group_name_H-M_alt 'F -4 3 m'
_space_group_IT_number 216
_space_group_name_Hall 'F -4 2 3'
_cell_length_a 5.5741
_cell_length_b 5.5741
_cell_length_c 5.5741
_cell_angle_alpha 90.00
_cell_angle_beta 90.00
_cell_angle_gamma 90.00
loop_
_atom_site_label
_atom_site_fract_x
_atom_site_fract_y
_atom_site_fract_z
V1 0.0000 0.0000 0.0000
Fe1 0.2500 0.2500 0.2500
Se1 0.0000 0.0000 0.5000
```

Peak list (8 most intense, 10° ≤ 2θ ≤ 80°, by angle)
2θ 27.7, I = 34; 2θ 32.1, I = 20; 2θ 46.1, I = 100; 2θ 54.6, I = 15; 2θ 57.3, I = 5; 2θ 67.2, I = 15; 2θ 74.1, I = 6; 2θ 76.4, I = 6

---

Record 3
TaAu: theoretical powder diffraction line list (λ = 1.5418 Å (Cu Kα)), based on the PBE geometry in the Materials Project.
Neutral-atom scattering factors, no anomalous dispersion.

Structural model:
```
data_TaAu
_chemical_formula_sum 'Ta1 Au1'
_space_group_name_H-M_alt 'P 4/m m m'
_space_group_IT_number 123
_space_group_name_Hall '-P 4 2'
_cell_length_a 2.9280
_cell_length_b 2.9280
_cell_length_c 4.1448
_cell_angle_alpha 90.00
_cell_angle_beta 90.00
_cell_angle_gamma 90.00
loop_
_atom_site_label
_atom_site_fract_x
_atom_site_fract_y
_atom_site_fract_z
Ta1 0.0000 0.0000 0.0000
Au1 0.5000 0.5000 0.5000
```

Peak list (4 most intense, 10° ≤ 2θ ≤ 80°, by angle)
2θ 37.6, I = 100; 2θ 43.7, I = 49; 2θ 63.5, I = 33; 2θ 76.2, I = 39

---

Record 4
In5SnSb3Te: theoretical powder diffraction line list (λ = 1.5418 Å (Cu Kα)), based on the PBE geometry in the Materials Project.
Neutral-atom scattering factors, no anomalous dispersion.

Structural model:
```
data_In5SnSb3Te
_chemical_formula_sum 'In5 Sn1 Sb3 Te1'
_space_group_name_H-M_alt 'P 1'
_space_group_IT_number 1
_cell_length_a 6.6807
_cell_length_b 8.1625
_cell_length_c 8.1752
_cell_angle_alpha 80.24
_cell_angle_beta 65.91
_cell_angle_gamma 65.85
loop_
_space_group_symop_operation_xyz
'x,y,z'
loop_
_atom_site_label
_atom_site_fract_x
_atom_site_fract_y
_atom_site_fract_z
In1 0.0000 0.0000 0.0000
In2 0.1776 0.4057 0.2022
In3 0.3881 0.8106 0.3901
In4 0.5964 0.2013 0.5793
In5 0.7951 0.6162 0.7882
Sn1 0.0433 0.1053 0.2926
Sb1 0.2432 0.5082 0.4921
Sb2 0.4359 0.9064 0.6915
Sb3 0.8391 0.7064 0.0926
Te1 0.6389 0.3087 0.8911
```

Peak list (10 most intense, 10° ≤ 2θ ≤ 80°, by angle)
2θ 23.1, I = 100; 2θ 38.1, I = 67; 2θ 38.2, I = 13; 2θ 45.0, I = 33; 2θ 45.1, I = 16; 2θ 55.0, I = 9; 2θ 60.4, I = 13; 2θ 68.9, I = 13; 2θ 69.0, I = 9; 2θ 73.7, I = 8

---

Record 5
YHoAg2: theoretical powder diffraction line list (λ = 1.5418 Å (Cu Kα)), based on the PBE geometry in the Materials Project.
Neutral-atom scattering factors, no anomalous dispersion.

Structural model:
```
data_YHoAg2
_chemical_formula_sum 'Y4 Ho4 Ag8'
_space_group_name_H-M_alt 'F m -3 m'
_space_group_IT_number 225
_space_group_name_Hall '-F 4 2 3'
_cell_length_a 7.2841
_cell_length_b 7.2841
_cell_length_c 7.2841
_cell_angle_alpha 90.00
_cell_angle_beta 90.00
_cell_angle_gamma 90.00
loop_
_atom_site_label
_atom_site_fract_x
_atom_site_fract_y
_atom_site_fract_z
Y1 0.0000 0.0000 0.0000
Ho1 0.0000 0.0000 0.5000
Ag1 0.2500 0.2500 0.2500
```

Peak list (9 most intense, 10° ≤ 2θ ≤ 80°, by angle)
2θ 21.1, I = 5; 2θ 34.8, I = 100; 2θ 41.1, I = 3; 2θ 50.1, I = 17; 2θ 54.9, I = 1; 2θ 62.5, I = 35; 2θ 66.7, I = 1; 2θ 73.6, I = 11; 2θ 77.5, I = 1